(1)
# LiCr
Computed powder diffraction line list, Cu Kα X-rays. Input: a DFT-relaxed cell (PBE, Alexandria).
Intensities are scaled so that the largest is 100.

Peak list (12 most intense, 2θ = 10–90°, in order of rising 2θ)
2θ/deg  I (rel.)
28.31  22
38.06  46
41.39  37
43.27  100
44.37  23
47.21  36
48.10  15
48.91  66
55.03  25
68.05  20
75.22  16
87.56  20

Cell and atoms:
```
4
Lattice="1.263 0.729 9.458 -1.263 0.729 9.458 0.000 -1.459 9.458" Properties=species:S:1:pos:R:3 pbc="T T T"
Li 0.000 0.000 3.423
Li 0.000 0.000 24.952
Cr 0.000 0.000 10.541
Cr 0.000 0.000 17.834
```

(2)
# Li2Cr
Computed powder diffraction line list, Cu Kα X-rays. Input: a DFT-relaxed cell (PBE, Alexandria).
Intensities are scaled so that the largest is 100.

Peak list (12 most intense, 2θ = 10–90°, in order of rising 2θ)
2θ/deg  I (rel.)
12.26  100
23.63  5
24.66  18
37.37  10
38.51  19
42.54  26
46.56  4
48.34  3
49.79  9
59.41  4
61.16  3
70.95  5

Cell and atoms:
```
6
Lattice="7.220 -1.950 0.000 7.220 1.950 0.000 0.000 0.000 2.981" Properties=species:S:1:pos:R:3 pbc="T T T"
Li 4.905 0.983 2.236
Li 9.534 0.983 2.236
Li 4.905 -0.983 0.745
Li 9.534 -0.983 0.745
Cr 7.220 1.171 0.745
Cr 7.220 -1.171 2.236
```

(3)
# Li2Cr
Computed powder diffraction line list, Cu Kα X-rays. Input: a DFT-relaxed cell (PBE, Alexandria).
Intensities are scaled so that the largest is 100.

Peak list (12 most intense, 2θ = 10–90°, in order of rising 2θ)
2θ/deg  I (rel.)
12.42  100
24.99  18
37.88  10
38.44  22
42.57  29
50.00  11
54.67  6
56.30  7
59.85  5
61.02  5
68.44  6
71.64  5

Cell and atoms:
```
3
Lattice="-1.187 1.187 7.125 1.187 -1.187 7.125 1.187 1.187 -7.125" Properties=species:S:1:pos:R:3 pbc="T T T"
Li 0.000 0.000 2.277
Li 0.000 0.000 11.974
Cr 0.000 0.000 7.125
```

Repeat the first record exactly.
# LiCr
Computed powder diffraction line list, Cu Kα X-rays. Input: a DFT-relaxed cell (PBE, Alexandria).
Intensities are scaled so that the largest is 100.

Peak list (12 most intense, 2θ = 10–90°, in order of rising 2θ)
2θ/deg  I (rel.)
28.31  22
38.06  46
41.39  37
43.27  100
44.37  23
47.21  36
48.10  15
48.91  66
55.03  25
68.05  20
75.22  16
87.56  20

Cell and atoms:
```
4
Lattice="1.263 0.729 9.458 -1.263 0.729 9.458 0.000 -1.459 9.458" Properties=species:S:1:pos:R:3 pbc="T T T"
Li 0.000 0.000 3.423
Li 0.000 0.000 24.952
Cr 0.000 0.000 10.541
Cr 0.000 0.000 17.834
```